[1]
# CaPr15Er4
Calculated powder XRD pattern, Cu Ka. Input: a cell relaxed with PBE.

The 10 most intense peaks (10° ≤ 2θ ≤ 90°), in order of falling intensity:
| 2theta | I_rel | hkl |
| --- | --- | --- |
| 29.75 | 100 | 1 1 5 |
| 49.57 | 36 | 2 2 0 |
| 34.44 | 34 | 2 0 0 |
| 58.83 | 29 | 3 1 5 |
| 34.57 | 17 | 0 0 10 |
| 59.00 | 14 | 1 1 15 |
| 61.79 | 12 | 2 2 10 |
| 80.54 | 11 | 3 1 15 |
| 80.39 | 6 | 3 3 5 |
| 82.91 | 6 | 4 2 0 |

Structure:
abc: 5.207 5.207 25.943
angles: 90.00 90.00 90.00
Space group P4/mmm (No. 123)
Inequivalent atoms, fractional coordinates:
1 Ca 0.000 0.000 0.000
2 Pr 0.000 0.500 0.104
3 Pr 0.000 0.500 0.302
4 Pr 0.000 0.500 0.500
5 Pr 0.500 0.500 0.000
6 Pr 0.500 0.500 0.202
7 Pr 0.500 0.500 0.400
8 Er 0.000 0.000 0.202
9 Er 0.000 0.000 0.401

[2]
# La3Ho2In2
Calculated powder XRD pattern, Cu Ka. Input: a cell relaxed with PBE.

The 10 most intense peaks (10° ≤ 2θ ≤ 90°), in order of falling intensity:
| 2theta | I_rel | hkl |
| --- | --- | --- |
| 32.26 | 100 | 2 0 0 |
| 33.60 | 26 | 1 3 1 |
| 65.36 | 26 | 2 0 2 |
| 42.40 | 25 | 2 0 1 |
| 31.59 | 19 | 1 1 1 |
| 57.53 | 19 | 3 7 0 |
| 31.23 | 15 | 0 4 1 |
| 26.77 | 14 | 0 0 1 |
| 45.54 | 10 | 2 4 1 |
| 83.82 | 9 | 3 7 2 |

Structure:
abc: 5.544 22.448 3.330
angles: 90.00 90.00 90.00
Space group Cmmm (No. 65)
Inequivalent atoms, fractional coordinates:
1 La 0.000 0.000 0.000
2 La 0.000 0.284 0.000
3 Ho 0.000 0.426 0.000
4 In 0.000 0.142 0.500

[3]
# BaHOs2O8
Calculated powder XRD pattern, Cu Ka. Input: a cell relaxed with PBE.

The 10 most intense peaks (10° ≤ 2θ ≤ 90°), in order of falling intensity:
| 2theta | I_rel | hkl |
| --- | --- | --- |
| 26.11 | 100 | 2 0 -2 |
| 29.76 | 72 | 3 1 -1 |
| 19.53 | 52 | 1 1 0 |
| 26.41 | 52 | 2 0 1 |
| 21.85 | 41 | 1 1 -1 |
| 31.21 | 29 | 1 1 -2 |
| 50.68 | 26 | 5 1 -3 |
| 35.41 | 24 | 0 2 0 |
| 47.77 | 22 | 5 1 0 |
| 44.54 | 21 | 2 2 -2 |

Structure:
abc: 11.280 5.070 6.992
angles: 90.00 114.39 90.00
Space group C2/m (No. 12)
Inequivalent atoms, fractional coordinates:
1 Ba 0.000 0.000 0.000
2 H 0.000 0.500 0.500
3 Os 0.192 0.000 0.662
4 O 0.096 0.265 0.689
5 O 0.146 0.500 0.139
6 O 0.180 0.000 0.397

[4]
# Rb5Cd2Hg5
Calculated powder XRD pattern, Cu Ka. Input: a cell relaxed with PBE.

The 10 most intense peaks (10° ≤ 2θ ≤ 90°), in order of falling intensity:
| 2theta | I_rel | hkl |
| --- | --- | --- |
| 32.89 | 100 | 5 1 -4 |
| 25.61 | 98 | 3 1 0 |
| 27.17 | 54 | 1 1 2 |
| 17.96 | 53 | 2 0 1 |
| 36.68 | 42 | 0 2 0 |
| 19.19 | 35 | 1 1 -1 |
| 26.20 | 34 | 2 0 -4 |
| 36.38 | 33 | 4 0 2 |
| 50.78 | 32 | 9 1 -2 |
| 29.22 | 27 | 6 0 -2 |

Structure:
abc: 18.776 4.901 14.202
angles: 90.00 127.91 90.00
Space group C2/m (No. 12)
Inequivalent atoms, fractional coordinates:
1 Rb 0.000 0.000 0.000
2 Rb 0.127 0.500 0.825
3 Rb 0.191 0.500 0.586
4 Cd 0.109 0.500 0.259
5 Hg 0.000 0.000 0.500
6 Hg 0.064 0.000 0.338
7 Hg 0.202 0.500 0.144